Simulated powder diffractogram
Compound: TiV15O24
Radiation: Cu Kα X-rays
Structure: the PBE+U geometry in Alexandria
Kinematic intensities with the Lorentz-polarization factor, no thermal factor.

The 6 most intense peaks (2θ = 10–90°), low angle first:
Position (°2θ)	Rel. int.
23.6	52
32.4	100
34.9	80
40.0	31
48.4	41
52.8	79

Cell and atoms:
```
data_TiV15O24
_symmetry_space_group_name_H-M 'P 1'
_symmetry_Int_Tables_number 1
_cell_length_a 5.561
_cell_length_b 9.147
_cell_length_c 9.161
_cell_angle_alpha 68.29
_cell_angle_beta 84.82
_cell_angle_gamma 84.83
loop_
_symmetry_equiv_pos_as_xyz
'x,y,z'
loop_
_atom_site_label
_atom_site_type_symbol
_atom_site_fract_x
_atom_site_fract_y
_atom_site_fract_z
_atom_site_occupancy
Ti1 Ti 0.000 0.000 0.000 1
V1 V 0.002 0.501 0.507 1
V2 V 0.003 0.253 0.255 1
V3 V 0.009 0.755 0.753 1
V4 V 0.402 0.852 0.854 1
V5 V 0.404 0.106 0.104 1
V6 V 0.404 0.353 0.357 1
V7 V 0.405 0.602 0.605 1
V8 V 0.502 0.252 0.755 1
V9 V 0.503 0.506 0.003 1
V10 V 0.504 0.752 0.254 1
V11 V 0.506 0.001 0.504 1
V12 V 0.900 0.599 0.109 1
V13 V 0.906 0.100 0.603 1
V14 V 0.907 0.355 0.858 1
V15 V 0.909 0.853 0.354 1
O1 O 0.041 0.809 0.962 1
O2 O 0.050 0.301 0.458 1
O3 O 0.052 0.202 0.058 1
O4 O 0.055 0.704 0.555 1
O5 O 0.199 0.398 0.709 1
O6 O 0.200 0.455 0.156 1
O7 O 0.204 0.958 0.648 1
O8 O 0.206 0.901 0.204 1
O9 O 0.350 0.057 0.905 1
O10 O 0.355 0.552 0.405 1
O11 O 0.355 0.647 0.805 1
O12 O 0.359 0.150 0.305 1
O13 O 0.553 0.305 0.957 1
O14 O 0.554 0.702 0.060 1
O15 O 0.555 0.205 0.558 1
O16 O 0.555 0.802 0.452 1
O17 O 0.700 0.399 0.207 1
O18 O 0.701 0.452 0.655 1
O19 O 0.708 0.903 0.702 1
O20 O 0.716 0.960 0.144 1
O21 O 0.856 0.650 0.307 1
O22 O 0.857 0.052 0.399 1
O23 O 0.861 0.554 0.903 1
O24 O 0.862 0.143 0.814 1
```

---

Simulated powder diffractogram
Compound: TiVO4
Radiation: Cu Kα X-rays
Structure: the PBE+U geometry in Alexandria
Kinematic intensities with the Lorentz-polarization factor, no thermal factor.

The 6 most intense peaks (2θ = 10–90°), low angle first:
Position (°2θ)	Rel. int.
25.2	100
37.0	21
47.9	28
52.9	9
53.0	10
54.9	14

Cell and atoms:
```
data_TiVO4
_symmetry_space_group_name_H-M 'P 1'
_symmetry_Int_Tables_number 1
_cell_length_a 5.363
_cell_length_b 5.374
_cell_length_c 5.542
_cell_angle_alpha 90.00
_cell_angle_beta 118.74
_cell_angle_gamma 90.00
loop_
_symmetry_equiv_pos_as_xyz
'x,y,z'
loop_
_atom_site_label
_atom_site_type_symbol
_atom_site_fract_x
_atom_site_fract_y
_atom_site_fract_z
_atom_site_occupancy
Ti1 Ti 0.244 0.000 0.007 1
Ti2 Ti 0.756 0.500 0.993 1
V1 V 0.251 0.740 0.509 1
V2 V 0.749 0.240 0.491 1
O1 O 0.039 0.017 0.579 1
O2 O 0.041 0.746 0.076 1
O3 O 0.451 0.755 0.901 1
O4 O 0.453 0.992 0.414 1
O5 O 0.547 0.492 0.586 1
O6 O 0.549 0.255 0.099 1
O7 O 0.959 0.246 0.924 1
O8 O 0.961 0.517 0.421 1
```

---

Simulated powder diffractogram
Compound: Ti4V2O9
Radiation: Cu Kα X-rays
Structure: the PBE+U geometry in Alexandria
Kinematic intensities with the Lorentz-polarization factor, no thermal factor.

The 6 most intense peaks (2θ = 10–90°), low angle first:
Position (°2θ)	Rel. int.
23.6	50
32.3	100
35.0	76
48.3	39
52.6	79
62.7	41

Cell and atoms:
```
data_Ti4V2O9
_symmetry_space_group_name_H-M 'P 1'
_symmetry_Int_Tables_number 1
_cell_length_a 5.131
_cell_length_b 5.131
_cell_length_c 14.185
_cell_angle_alpha 90.00
_cell_angle_beta 90.00
_cell_angle_gamma 120.00
loop_
_symmetry_equiv_pos_as_xyz
'x,y,z'
loop_
_atom_site_label
_atom_site_type_symbol
_atom_site_fract_x
_atom_site_fract_y
_atom_site_fract_z
_atom_site_occupancy
Ti1 Ti 0.333 0.667 0.183 1
Ti2 Ti 0.333 0.667 0.482 1
Ti3 Ti 0.333 0.667 0.683 1
Ti4 Ti 0.333 0.667 0.982 1
Ti5 Ti 0.667 0.333 0.018 1
Ti6 Ti 0.667 0.333 0.317 1
Ti7 Ti 0.667 0.333 0.518 1
Ti8 Ti 0.667 0.333 0.817 1
V1 V 0.000 0.000 0.150 1
V2 V 0.000 0.000 0.350 1
V3 V 0.000 0.000 0.650 1
V4 V 0.000 0.000 0.850 1
O1 O 0.000 0.324 0.250 1
O2 O 0.000 0.676 0.750 1
O3 O 0.023 0.375 0.581 1
O4 O 0.023 0.648 0.081 1
O5 O 0.324 0.000 0.250 1
O6 O 0.324 0.324 0.750 1
O7 O 0.352 0.375 0.081 1
O8 O 0.352 0.977 0.581 1
O9 O 0.375 0.023 0.919 1
O10 O 0.375 0.352 0.419 1
O11 O 0.625 0.648 0.581 1
O12 O 0.625 0.977 0.081 1
O13 O 0.648 0.023 0.419 1
O14 O 0.648 0.625 0.919 1
O15 O 0.676 0.000 0.750 1
O16 O 0.676 0.676 0.250 1
O17 O 0.977 0.352 0.919 1
O18 O 0.977 0.625 0.419 1
```

---

Simulated powder diffractogram
Compound: Ti3VO7
Radiation: Cu Kα X-rays
Structure: the PBE+U geometry in Alexandria
Kinematic intensities with the Lorentz-polarization factor, no thermal factor.

The 6 most intense peaks (2θ = 10–90°), low angle first:
Position (°2θ)	Rel. int.
20.5	33
29.3	100
34.2	82
52.8	74
60.0	14
60.5	16

Cell and atoms:
```
data_Ti3VO7
_symmetry_space_group_name_H-M 'P 1'
_symmetry_Int_Tables_number 1
_cell_length_a 6.314
_cell_length_b 6.314
_cell_length_c 6.168
_cell_angle_alpha 90.00
_cell_angle_beta 90.00
_cell_angle_gamma 104.83
loop_
_symmetry_equiv_pos_as_xyz
'x,y,z'
loop_
_atom_site_label
_atom_site_type_symbol
_atom_site_fract_x
_atom_site_fract_y
_atom_site_fract_z
_atom_site_occupancy
Ti1 Ti 0.055 0.530 0.259 1
Ti2 Ti 0.069 0.069 0.000 1
Ti3 Ti 0.470 0.945 0.241 1
Ti4 Ti 0.530 0.055 0.741 1
Ti5 Ti 0.931 0.931 0.500 1
Ti6 Ti 0.945 0.470 0.759 1
V1 V 0.495 0.495 0.500 1
V2 V 0.505 0.505 0.000 1
O1 O 0.116 0.884 0.750 1
O2 O 0.136 0.864 0.250 1
O3 O 0.153 0.395 0.976 1
O4 O 0.156 0.442 0.546 1
O5 O 0.376 0.624 0.250 1
O6 O 0.395 0.153 0.024 1
O7 O 0.442 0.156 0.454 1
O8 O 0.558 0.844 0.954 1
O9 O 0.605 0.847 0.524 1
O10 O 0.624 0.376 0.750 1
O11 O 0.844 0.558 0.046 1
O12 O 0.847 0.605 0.476 1
O13 O 0.864 0.136 0.750 1
O14 O 0.884 0.116 0.250 1
```

---

Simulated powder diffractogram
Compound: TiV3O9
Radiation: Cu Kα X-rays
Structure: the PBE+U geometry in Alexandria
Kinematic intensities with the Lorentz-polarization factor, no thermal factor.

The 6 most intense peaks (2θ = 10–90°), low angle first:
Position (°2θ)	Rel. int.
20.6	100
21.3	13
21.8	18
23.6	72
26.2	32
29.0	16

Cell and atoms:
```
data_TiV3O9
_symmetry_space_group_name_H-M 'P 1'
_symmetry_Int_Tables_number 1
_cell_length_a 8.050
_cell_length_b 8.050
_cell_length_c 10.362
_cell_angle_alpha 122.27
_cell_angle_beta 122.27
_cell_angle_gamma 52.20
loop_
_symmetry_equiv_pos_as_xyz
'x,y,z'
loop_
_atom_site_label
_atom_site_type_symbol
_atom_site_fract_x
_atom_site_fract_y
_atom_site_fract_z
_atom_site_occupancy
Ti1 Ti 0.245 0.755 0.500 1
Ti2 Ti 0.755 0.245 0.000 1
V1 V 0.224 0.282 0.752 1
V2 V 0.282 0.224 0.252 1
V3 V 0.525 0.716 0.312 1
V4 V 0.716 0.525 0.812 1
V5 V 0.764 0.969 0.174 1
V6 V 0.969 0.764 0.674 1
O1 O 0.010 0.382 0.817 1
O2 O 0.042 0.238 0.093 1
O3 O 0.091 0.854 0.646 1
O4 O 0.164 0.489 0.694 1
O5 O 0.227 0.474 0.400 1
O6 O 0.238 0.042 0.593 1
O7 O 0.369 0.668 0.345 1
O8 O 0.382 0.010 0.317 1
O9 O 0.474 0.227 0.900 1
O10 O 0.489 0.164 0.194 1
O11 O 0.528 0.631 0.648 1
O12 O 0.631 0.528 0.148 1
O13 O 0.668 0.369 0.845 1
O14 O 0.734 0.752 0.002 1
O15 O 0.752 0.734 0.502 1
O16 O 0.854 0.091 0.146 1
O17 O 0.880 0.941 0.838 1
O18 O 0.941 0.880 0.338 1
```

---

Simulated powder diffractogram
Compound: Ti3V2O9
Radiation: Cu Kα X-rays
Structure: the PBE+U geometry in Alexandria
Kinematic intensities with the Lorentz-polarization factor, no thermal factor.

The 6 most intense peaks (2θ = 10–90°), low angle first:
Position (°2θ)	Rel. int.
23.3	51
27.5	100
27.7	94
27.9	52
32.1	47
34.8	65

Cell and atoms:
```
data_Ti3V2O9
_symmetry_space_group_name_H-M 'P 1'
_symmetry_Int_Tables_number 1
_cell_length_a 11.215
_cell_length_b 11.215
_cell_length_c 6.746
_cell_angle_alpha 106.56
_cell_angle_beta 106.56
_cell_angle_gamma 26.55
loop_
_symmetry_equiv_pos_as_xyz
'x,y,z'
loop_
_atom_site_label
_atom_site_type_symbol
_atom_site_fract_x
_atom_site_fract_y
_atom_site_fract_z
_atom_site_occupancy
Ti1 Ti 0.000 0.000 0.000 1
Ti2 Ti 0.000 0.000 0.500 1
Ti3 Ti 0.037 0.311 0.073 1
Ti4 Ti 0.311 0.037 0.573 1
Ti5 Ti 0.689 0.963 0.427 1
Ti6 Ti 0.963 0.689 0.927 1
V1 V 0.415 0.456 0.085 1
V2 V 0.456 0.415 0.585 1
V3 V 0.544 0.585 0.415 1
V4 V 0.585 0.544 0.915 1
O1 O 0.018 0.811 0.985 1
O2 O 0.189 0.982 0.515 1
O3 O 0.191 0.203 0.848 1
O4 O 0.197 0.803 0.750 1
O5 O 0.203 0.191 0.348 1
O6 O 0.301 0.628 0.368 1
O7 O 0.325 0.362 0.974 1
O8 O 0.362 0.325 0.474 1
O9 O 0.372 0.699 0.132 1
O10 O 0.628 0.301 0.868 1
O11 O 0.638 0.675 0.526 1
O12 O 0.675 0.638 0.026 1
O13 O 0.699 0.372 0.632 1
O14 O 0.797 0.809 0.652 1
O15 O 0.803 0.197 0.250 1
O16 O 0.809 0.797 0.152 1
O17 O 0.811 0.018 0.485 1
O18 O 0.982 0.189 0.015 1
```

---

Simulated powder diffractogram
Compound: TiVO4
Radiation: Cu Kα X-rays
Structure: the PBE+U geometry in Alexandria
Kinematic intensities with the Lorentz-polarization factor, no thermal factor.

The 6 most intense peaks (2θ = 10–90°), low angle first:
Position (°2θ)	Rel. int.
27.5	100
35.8	51
41.0	20
54.2	60
56.7	19
68.9	21

Cell and atoms:
```
data_TiVO4
_symmetry_space_group_name_H-M 'P 1'
_symmetry_Int_Tables_number 1
_cell_length_a 5.481
_cell_length_b 5.481
_cell_length_c 5.481
_cell_angle_alpha 107.36
_cell_angle_beta 107.36
_cell_angle_gamma 113.77
loop_
_symmetry_equiv_pos_as_xyz
'x,y,z'
loop_
_atom_site_label
_atom_site_type_symbol
_atom_site_fract_x
_atom_site_fract_y
_atom_site_fract_z
_atom_site_occupancy
Ti1 Ti 0.000 0.000 0.000 1
Ti2 Ti 0.750 0.250 0.500 1
V1 V 0.254 0.754 0.500 1
V2 V 0.504 0.504 0.000 1
O1 O 0.205 0.502 0.703 1
O2 O 0.252 0.049 0.797 1
O3 O 0.252 0.455 0.203 1
O4 O 0.312 0.007 0.305 1
O5 O 0.702 0.007 0.695 1
O6 O 0.757 0.562 0.805 1
O7 O 0.757 0.952 0.195 1
O8 O 0.799 0.502 0.297 1
```

---

Simulated powder diffractogram
Compound: TiW2O8
Radiation: Cu Kα X-rays
Structure: the PBE+U geometry in Alexandria
Kinematic intensities with the Lorentz-polarization factor, no thermal factor.

The 6 most intense peaks (2θ = 10–90°), low angle first:
Position (°2θ)	Rel. int.
19.1	100
23.3	95
24.5	61
30.1	71
30.5	69
35.6	63

Cell and atoms:
```
data_TiW2O8
_symmetry_space_group_name_H-M 'P 1'
_symmetry_Int_Tables_number 1
_cell_length_a 5.054
_cell_length_b 5.819
_cell_length_c 10.521
_cell_angle_alpha 90.00
_cell_angle_beta 117.74
_cell_angle_gamma 90.00
loop_
_symmetry_equiv_pos_as_xyz
'x,y,z'
loop_
_atom_site_label
_atom_site_type_symbol
_atom_site_fract_x
_atom_site_fract_y
_atom_site_fract_z
_atom_site_occupancy
Ti1 Ti 0.000 0.125 0.250 1
Ti2 Ti 0.000 0.875 0.750 1
W1 W 0.237 0.339 0.999 1
W2 W 0.237 0.661 0.499 1
W3 W 0.763 0.339 0.501 1
W4 W 0.763 0.661 0.001 1
O1 O 0.174 0.393 0.611 1
O2 O 0.174 0.607 0.111 1
O3 O 0.211 0.159 0.139 1
O4 O 0.211 0.841 0.639 1
O5 O 0.244 0.104 0.879 1
O6 O 0.244 0.896 0.379 1
O7 O 0.316 0.384 0.393 1
O8 O 0.316 0.616 0.893 1
O9 O 0.684 0.384 0.107 1
O10 O 0.684 0.616 0.607 1
O11 O 0.756 0.104 0.621 1
O12 O 0.756 0.896 0.121 1
O13 O 0.789 0.159 0.361 1
O14 O 0.789 0.841 0.861 1
O15 O 0.826 0.393 0.889 1
O16 O 0.826 0.607 0.389 1
```